[1]
For LiMg4Cd2, the PBE geometry in Alexandria gives the simulated X-ray powder pattern in this record (Cu Kα, 1.54184 Å).

Main lines, in order of rising 2θ (10 to 90 degrees two-theta):
2θ 21.6, 4.115 Å, I 65.9, (1 0 1); 2θ 24.0, 3.714 Å, I 88.8, (2 1 0); 2θ 24.1, 3.687 Å, I 21.0, (1 1 1); 2θ 36.0, 2.496 Å, I 100.0, (2 2 1); 2θ 37.6, 2.390 Å, I 41.4, (3 0 1); 2θ 38.0, 2.369 Å, I 23.7, (0 0 2); 2θ 43.6, 2.076 Å, I 25.8, (4 0 0); 2θ 45.4, 1.997 Å, I 31.2, (2 1 2)

Atomic structure:
a b c (Å): 8.3053 8.3053 4.7376
angles (deg): 90.00 90.00 90.00
Space group P4_2/mnm (No. 136)
One atom of each set of equivalent atoms:
Li 0.0000 0.0000 0.0000 (multiplicity 2)
Mg 0.1189 0.3682 0.0000 (multiplicity 8)
Cd 0.1425 0.1425 0.5000 (multiplicity 4)

[2]
For Li7MgCd3, the PBE geometry in Alexandria gives the simulated X-ray powder pattern in this record (Cu Kα, 1.54184 Å).

Main lines, in order of rising 2θ (10 to 90 degrees two-theta):
2θ 16.0, 5.550 Å, I 92.7, (0 4 0); 2θ 21.9, 4.054 Å, I 100.0, (0 2 3); 2θ 24.1, 3.700 Å, I 80.0, (0 6 0); 2θ 26.0, 3.426 Å, I 45.9, (0 4 3); 2θ 27.3, 3.266 Å, I 46.7, (0 0 4); 2θ 31.9, 2.808 Å, I 77.1, (1 3 0); 2θ 36.3, 2.474 Å, I 58.5, (1 1 3); 2θ 41.6, 2.172 Å, I 46.6, (1 5 3)

Atomic structure:
a b c (Å): 3.0345 22.1986 13.0652
angles (deg): 90.00 90.00 90.00
Space group Cmcm (No. 63)
One atom of each set of equivalent atoms:
Li 0.0000 0.0453 0.0698 (multiplicity 8)
Li 0.0000 0.0870 0.6310 (multiplicity 8)
Li 0.0000 0.1502 0.2500 (multiplicity 4)
Li 0.0000 0.2327 0.6016 (multiplicity 8)
Mg 0.0000 0.4887 0.7500 (multiplicity 4)
Cd 0.0000 0.3298 0.2500 (multiplicity 4)
Cd 0.0000 0.3501 0.5342 (multiplicity 8)

[3]
For Li10Mg4Cd, the PBE geometry in Alexandria gives the simulated X-ray powder pattern in this record (Cu Kα, 1.54184 Å).

Main lines, in order of rising 2θ (10 to 90 degrees two-theta):
2θ 14.3, 6.188 Å, I 47.2, (1 0 1); 2θ 14.8, 5.993 Å, I 28.9, (1 1 0); 2θ 19.6, 4.527 Å, I 31.1, (0 0 2); 2θ 24.6, 3.612 Å, I 24.1, (1 1 2); 2θ 25.5, 3.496 Å, I 100.0, (2 1 1); 2θ 38.1, 2.361 Å, I 45.6, (2 1 3); 2θ 39.1, 2.306 Å, I 27.3, (1 3 2); 2θ 39.6, 2.275 Å, I 20.2, (3 2 1)

Atomic structure:
a b c (Å): 8.4752 8.4752 9.0550
angles (deg): 90.00 90.00 90.00
Space group I4/m (No. 87)
One atom of each set of equivalent atoms:
Li 0.0000 0.5000 0.2500 (multiplicity 4)
Li 0.1224 0.2275 0.1668 (multiplicity 16)
Mg 0.0502 0.2729 0.5000 (multiplicity 8)
Cd 0.0000 0.0000 0.0000 (multiplicity 2)

[4]
For Li6Mg4Cd, the PBE geometry in Alexandria gives the simulated X-ray powder pattern in this record (Cu Kα, 1.54184 Å).

Main lines, in order of rising 2θ (10 to 90 degrees two-theta):
2θ 15.8, 5.624 Å, I 100.0, (0 0 1); 2θ 19.5, 4.541 Å, I 27.3, (2 0 1); 2θ 21.6, 4.118 Å, I 18.1, (1 1 -1); 2θ 23.1, 3.850 Å, I 39.8, (3 1 -1); 2θ 34.7, 2.586 Å, I 18.8, (3 1 -2); 2θ 34.9, 2.568 Å, I 26.9, (4 2 0); 2θ 36.7, 2.452 Å, I 20.1, (4 2 -1); 2θ 40.5, 2.229 Å, I 14.6, (9 1 0)

Atomic structure:
a b c (Å): 22.4484 5.8232 5.8232
angles (deg): 90.00 104.73 90.00
Space group C2 (No. 5)
One atom of each set of equivalent atoms:
Li 0.0000 0.0000 0.0000 (multiplicity 2)
Li 0.0000 0.4983 0.5000 (multiplicity 2)
Li 0.0924 0.8030 0.3945 (multiplicity 4)
Li 0.0930 0.1969 0.7889 (multiplicity 4)
Mg 0.1069 0.2971 0.3082 (multiplicity 4)
Mg 0.1069 0.7027 0.9027 (multiplicity 4)
Cd 0.0000 0.4996 0.0000 (multiplicity 2)

[5]
For Li14MgCd, the PBE geometry in Alexandria gives the simulated X-ray powder pattern in this record (Cu Kα, 1.54184 Å).

Main lines, in order of rising 2θ (10 to 90 degrees two-theta):
2θ 16.9, 5.251 Å, I 63.2, (0 1 1); 2θ 17.2, 5.161 Å, I 66.0, (0 0 2); 2θ 17.7, 4.999 Å, I 61.1, (2 0 0); 2θ 19.1, 4.649 Å, I 94.6, (1 1 1); 2θ 19.4, 4.586 Å, I 100.0, (1 0 2); 2θ 35.3, 2.539 Å, I 64.1, (1 2 2); 2θ 35.9, 2.499 Å, I 62.1, (4 0 0); 2θ 38.7, 2.324 Å, I 63.1, (2 2 2)

Atomic structure:
a b c (Å): 9.9984 6.0992 10.3225
angles (deg): 90.00 90.00 90.00
Space group Amm2 (No. 38)
One atom of each set of equivalent atoms:
Li 0.0000 0.0000 0.0000 (multiplicity 2)
Li 0.0000 0.0000 0.4991 (multiplicity 2)
Li 0.0000 0.2470 0.7492 (multiplicity 4)
Li 0.2462 0.0000 0.1702 (multiplicity 4)
Li 0.2505 0.2457 0.9187 (multiplicity 8)
Li 0.2551 0.0000 0.6702 (multiplicity 4)
Li 0.5000 0.2476 0.1001 (multiplicity 4)
Mg 0.5000 0.0000 0.3512 (multiplicity 2)
Cd 0.5000 0.0000 0.8503 (multiplicity 2)

[6]
For Li7Mg12Cd, the PBE geometry in Alexandria gives the simulated X-ray powder pattern in this record (Cu Kα, 1.54184 Å).

Main lines, in order of rising 2θ (10 to 90 degrees two-theta):
2θ 11.5, 7.676 Å, I 47.2, (1 0 1); 2θ 16.2, 5.475 Å, I 100.0, (0 1 2); 2θ 20.2, 4.407 Å, I 50.6, (0 2 1); 2θ 34.5, 2.599 Å, I 29.3, (0 1 5); 2θ 35.1, 2.559 Å, I 32.1, (0 3 3); 2θ 35.3, 2.539 Å, I 53.7, (4 -3 1); 2θ 36.8, 2.440 Å, I 42.3, (2 1 4); 2θ 37.2, 2.415 Å, I 43.9, (3 1 2)

Atomic structure:
a b c (Å): 10.7638 10.7638 13.5312
angles (deg): 90.00 90.00 120.00
Space group R-3 (No. 148, hexagonal axes)
One atom of each set of equivalent atoms:
Li 0.0000 0.0000 0.0000 (multiplicity 3)
Li 0.0431 0.8571 0.3109 (multiplicity 18)
Mg 0.0275 0.5817 0.2038 (multiplicity 18)
Mg 0.0740 0.4829 0.5866 (multiplicity 18)
Cd 0.0000 0.0000 0.5000 (multiplicity 3)

[7]
For Li4MgCd2, the PBE geometry in Alexandria gives the simulated X-ray powder pattern in this record (Cu Kα, 1.54184 Å).

Main lines, in order of rising 2θ (10 to 90 degrees two-theta):
2θ 13.5, 6.559 Å, I 53.2, (0 0 1); 2θ 13.6, 6.494 Å, I 100.0, (2 0 0); 2θ 24.2, 3.682 Å, I 23.1, (2 0 -2); 2θ 27.5, 3.247 Å, I 21.6, (4 0 0); 2θ 32.3, 2.775 Å, I 38.0, (1 1 -1); 2θ 35.4, 2.533 Å, I 27.6, (3 1 -1); 2θ 39.1, 2.301 Å, I 19.4, (1 1 -2); 2θ 43.3, 2.089 Å, I 24.2, (5 1 -1)

Atomic structure:
a b c (Å): 14.6038 2.9959 7.3750
angles (deg): 90.00 117.21 90.00
Space group C2/m (No. 12)
One atom of each set of equivalent atoms:
Li 0.0830 0.0000 0.2032 (multiplicity 4)
Li 0.1425 0.5000 0.9007 (multiplicity 4)
Mg 0.0000 0.0000 0.5000 (multiplicity 2)
Cd 0.2255 0.0000 0.6612 (multiplicity 4)

[8]
For Li4MgCd, the PBE geometry in Alexandria gives the simulated X-ray powder pattern in this record (Cu Kα, 1.54184 Å).

Main lines, in order of rising 2θ (10 to 90 degrees two-theta):
2θ 15.1, 5.879 Å, I 37.0, (0 0 1); 2θ 21.8, 4.080 Å, I 100.0, (2 0 0); 2θ 26.6, 3.352 Å, I 55.5, (2 0 1); 2θ 37.7, 2.385 Å, I 64.2, (2 0 2); 2θ 38.2, 2.356 Å, I 35.3, (3 1 0); 2θ 41.3, 2.187 Å, I 18.1, (3 1 1); 2θ 54.8, 1.676 Å, I 20.9, (2 2 2); 2θ 68.7, 1.366 Å, I 20.4, (5 1 2)

Atomic structure:
a b c (Å): 8.1592 4.7125 5.8790
angles (deg): 90.00 90.01 90.00
Space group C2 (No. 5)
One atom of each set of equivalent atoms:
Li 0.1666 0.0002 0.2356 (multiplicity 4)
Li 0.1668 0.0000 0.7656 (multiplicity 4)
Mg 0.0000 0.4991 0.5000 (multiplicity 2)
Cd 0.0000 0.4998 0.0000 (multiplicity 2)

[9]
For Li9MgCd2, the PBE geometry in Alexandria gives the simulated X-ray powder pattern in this record (Cu Kα, 1.54184 Å).

Main lines, in order of rising 2θ (10 to 90 degrees two-theta):
2θ 10.7, 8.253 Å, I 46.8, (1 0 0); 2θ 18.6, 4.765 Å, I 100.0, (1 1 0); 2θ 32.5, 2.751 Å, I 25.0, (3 0 0); 2θ 35.3, 2.541 Å, I 47.1, (1 1 1); 2θ 37.8, 2.382 Å, I 26.0, (2 2 0); 2θ 44.7, 2.028 Å, I 24.0, (3 0 1); 2θ 48.8, 1.866 Å, I 15.6, (2 2 1); 2θ 59.9, 1.544 Å, I 19.1, (4 1 1)

Atomic structure:
a b c (Å): 9.5296 9.5296 3.0030
angles (deg): 90.00 90.00 120.00
Space group P6/mmm (No. 191)
One atom of each set of equivalent atoms:
Li 0.0000 0.5000 0.0000 (multiplicity 3)
Li 0.1745 0.3490 0.5000 (multiplicity 6)
Mg 0.0000 0.0000 0.0000 (multiplicity 1)
Cd 0.3333 0.6667 0.0000 (multiplicity 2)

[10]
For LiMg4Cd7, the PBE geometry in Alexandria gives the simulated X-ray powder pattern in this record (Cu Kα, 1.54184 Å).

Main lines, in order of rising 2θ (10 to 90 degrees two-theta):
2θ 22.2, 4.006 Å, I 52.4, (0 1 1); 2θ 30.2, 2.963 Å, I 30.9, (0 1 3); 2θ 35.8, 2.507 Å, I 100.0, (1 0 4); 2θ 36.8, 2.443 Å, I 97.2, (1 1 0); 2θ 52.3, 1.750 Å, I 32.5, (0 2 4); 2θ 63.7, 1.460 Å, I 17.0, (0 1 8); 2θ 65.6, 1.423 Å, I 31.7, (2 1 4); 2θ 66.3, 1.411 Å, I 16.1, (3 0 0)

Atomic structure:
a b c (Å): 4.8863 4.8863 12.4465
angles (deg): 90.00 90.00 120.00
Space group P-3m1 (No. 164)
One atom of each set of equivalent atoms:
Li 0.0000 0.0000 0.0000 (multiplicity 1)
Mg 0.3333 0.6667 0.1664 (multiplicity 2)
Mg 0.3333 0.6667 0.4236 (multiplicity 2)
Cd 0.0000 0.0000 0.2430 (multiplicity 2)
Cd 0.0000 0.0000 0.5000 (multiplicity 1)
Cd 0.3333 0.6667 0.6750 (multiplicity 2)
Cd 0.3333 0.6667 0.9297 (multiplicity 2)

[11]
For Li2Mg7Cd3, the PBE geometry in Alexandria gives the simulated X-ray powder pattern in this record (Cu Kα, 1.54184 Å).

Main lines, in order of rising 2θ (10 to 90 degrees two-theta):
2θ 14.1, 6.284 Å, I 90.5, (0 0 3); 2θ 18.8, 4.722 Å, I 52.6, (0 1 1); 2θ 20.5, 4.333 Å, I 53.4, (0 1 2); 2θ 26.3, 3.390 Å, I 24.8, (0 1 4); 2θ 28.4, 3.142 Å, I 25.9, (0 0 6); 2θ 36.9, 2.438 Å, I 100.0, (0 2 0); 2θ 37.1, 2.424 Å, I 42.8, (1 1 -3); 2θ 38.2, 2.358 Å, I 48.2, (0 1 7)

Atomic structure:
a b c (Å): 3.0186 4.8787 18.8992
angles (deg): 90.00 94.04 90.00
Space group P2/m (No. 10)
One atom of each set of equivalent atoms:
Li 0.1292 0.0000 0.2809 (multiplicity 2)
Mg 0.1064 0.5000 0.1977 (multiplicity 2)
Mg 0.2208 0.0000 0.4289 (multiplicity 2)
Mg 0.4253 0.0000 0.8635 (multiplicity 2)
Mg 0.5000 0.5000 0.0000 (multiplicity 1)
Cd 0.0000 0.0000 0.0000 (multiplicity 1)
Cd 0.3257 0.5000 0.6513 (multiplicity 2)

[12]
For Li2PrMg2Cd2, the PBE geometry in Alexandria gives the simulated X-ray powder pattern in this record (Cu Kα, 1.54184 Å).

Main lines, in order of rising 2θ (10 to 90 degrees two-theta):
2θ 12.0, 7.396 Å, I 100.0, (0 0 1); 2θ 25.9, 3.436 Å, I 81.5, (1 1 1); 2θ 26.1, 3.418 Å, I 41.4, (2 0 -2); 2θ 34.9, 2.569 Å, I 52.9, (1 1 2); 2θ 35.1, 2.556 Å, I 25.5, (2 0 -3); 2θ 35.6, 2.520 Å, I 98.8, (0 2 0); 2θ 37.8, 2.383 Å, I 24.7, (0 2 1); 2θ 44.7, 2.028 Å, I 19.1, (2 2 -2)

Atomic structure:
a b c (Å): 8.7334 5.0384 7.9269
angles (deg): 90.00 111.09 90.00
Space group C2/m (No. 12)
One atom of each set of equivalent atoms:
Li 0.1477 0.0000 0.4452 (multiplicity 4)
Pr 0.0000 0.0000 0.0000 (multiplicity 2)
Mg 0.0770 0.5000 0.7258 (multiplicity 4)
Cd 0.2290 0.5000 0.1914 (multiplicity 4)

[13]
For LiMg5Cd2Rh2, the PBE geometry in Alexandria gives the simulated X-ray powder pattern in this record (Cu Kα, 1.54184 Å).

Main lines, in order of rising 2θ (10 to 90 degrees two-theta):
2θ 12.8, 6.929 Å, I 100.0, (1 1 0); 2θ 22.0, 4.049 Å, I 58.5, (0 0 1); 2θ 25.5, 3.496 Å, I 39.0, (1 1 1); 2θ 36.5, 2.461 Å, I 92.5, (3 1 1); 2θ 37.9, 2.377 Å, I 40.4, (4 1 0); 2θ 39.0, 2.310 Å, I 31.1, (3 3 0); 2θ 40.0, 2.256 Å, I 53.2, (3 2 1); 2θ 43.2, 2.096 Å, I 39.9, (4 0 1)

Atomic structure:
a b c (Å): 9.7989 9.7989 4.0485
angles (deg): 90.00 90.00 90.00
Space group P4/mbm (No. 127)
One atom of each set of equivalent atoms:
Li 0.0000 0.0000 0.0000 (multiplicity 2)
Mg 0.0000 0.5000 0.5000 (multiplicity 2)
Mg 0.0796 0.2063 0.5000 (multiplicity 8)
Cd 0.1720 0.6720 0.0000 (multiplicity 4)
Rh 0.1216 0.3784 0.0000 (multiplicity 4)